Diffraction record for Ba3MgNb2CoO9. The powder diffractogram is theoretical, not measured: it uses a structure optimized by DFT (GGA+U) and Cu Kα (λ = 1.5418 Å).
Peak positions follow from Bragg's law for the DFT cell and can differ from measured ones.

a = 5.917 Å, b = 6.192 Å, c = 7.491 Å
α = 84.97°, β = 89.94°, γ = 61.52°
Sites, in units of the cell vectors:
Ba  0.000  0.000  0.000
Ba  0.280  0.440  0.713
Ba  0.577  0.845  0.423
Mg  0.779  0.448  0.189
Nb  0.288  0.429  0.199
Nb  0.946  0.110  0.546
Co  0.615  0.773  0.859
O  0.096  0.281  0.361
O  0.116  0.771  0.372
O  0.272  0.944  0.694
O  0.429  0.149  0.060
O  0.456  0.600  0.045
O  0.627  0.281  0.360
O  0.785  0.944  0.693
O  0.801  0.400  0.677
O  0.950  0.598  0.043

Top 10 peaks for 10° ≤ 2θ ≤ 90°, in order of falling intensity:
- (0 1 -2), 2θ 30.4, d 2.937, I 100.0
- (1 1 2), 2θ 28.8, d 3.098, I 92.9
- (1 2 0), 2θ 29.0, d 3.082, I 91.8
- (2 0 2), 2θ 43.4, d 2.084, I 83.1
- (2 1 0), 2θ 30.2, d 2.958, I 69.7
- (3 2 2), 2θ 52.8, d 1.733, I 25.9
- (3 3 0), 2θ 53.0, d 1.729, I 25.5
- (0 2 2), 2θ 39.1, d 2.302, I 22.5
- (0 1 2), 2θ 27.7, d 3.223, I 19.5
- (1 0 -3), 2θ 39.5, d 2.284, I 18.5